Er2Tm3Sc: computed powder X-ray diffraction pattern (a wavelength of 1.5418 Å), based on the GGA-PBE geometry in Alexandria.
Intensities are scaled so that the largest is 100.

Most intense lines, 2θ = 15–90°, sorted by position:
2theta, Rel. int.
28.58, 22
29.30, 34
31.58, 59
32.89, 100
34.32, 31
64.65, 29

Structure:
Unit cell a=8.8080 b=8.8080 c=13.7879 alpha=117.05 beta=117.05 gamma=22.25
Atoms (fractional coordinates):
Er: 0.1560 0.1560 0.4687
Er: 0.3206 0.3206 0.1201
Er: 0.6794 0.6794 0.8799
Er: 0.8440 0.8440 0.5313
Tm: 0.0991 0.0991 0.0255
Tm: 0.2419 0.2419 0.2937
Tm: 0.4612 0.4612 0.7838
Tm: 0.5388 0.5388 0.2162
Tm: 0.7581 0.7581 0.7063
Tm: 0.9009 0.9009 0.9745
Sc: 0.0618 0.0618 0.6411
Sc: 0.9382 0.9382 0.3589